Calculated powder diffractogram
Compound: NaMnPCO7
Radiation: Cu Kα, 1.54184 Å
Structure: a crystal structure in Alexandria, relaxed with GGA+U
Intensities are scaled so that the largest is 100.

Atomic structure:
abc: 10.6768 6.2390 10.3655
angles: 90.00 117.57 90.00
Sites, in units of the cell vectors:
1 Na 0.2300 0.0519 0.2327
2 Na 0.2300 0.4481 0.7327
3 Na 0.7700 0.5519 0.2673
4 Na 0.7700 0.9481 0.7673
5 Mn 0.3505 0.7462 0.5657
6 Mn 0.3505 0.7538 0.0657
7 Mn 0.6495 0.2462 0.9343
8 Mn 0.6495 0.2538 0.4343
9 P 0.4366 0.2431 0.5773
10 P 0.4366 0.2569 0.0773
11 P 0.5634 0.7431 0.9227
12 P 0.5634 0.7569 0.4227
13 C 0.0999 0.7295 0.3991
14 C 0.0999 0.7705 0.8991
15 C 0.9001 0.2295 0.1009
16 C 0.9001 0.2705 0.6009
17 O 0.0266 0.2180 0.1868
18 O 0.0266 0.2820 0.6868
19 O 0.1555 0.7292 0.5429
20 O 0.1555 0.7708 0.0429
21 O 0.2029 0.7446 0.3609
22 O 0.2029 0.7554 0.8609
23 O 0.3361 0.0517 0.5575
24 O 0.3361 0.4483 0.0575
25 O 0.3429 0.0632 0.0709
26 O 0.3429 0.4368 0.5709
27 O 0.4256 0.7335 0.7789
28 O 0.4256 0.7665 0.2789
29 O 0.4720 0.2476 0.4474
30 O 0.4720 0.2524 0.9474
31 O 0.5280 0.7476 0.0526
32 O 0.5280 0.7524 0.5526
33 O 0.5744 0.2335 0.7211
34 O 0.5744 0.2665 0.2211
35 O 0.6571 0.5632 0.4291
36 O 0.6571 0.9368 0.9291
37 O 0.6639 0.5517 0.9425
38 O 0.6639 0.9483 0.4425
39 O 0.7971 0.2446 0.1391
40 O 0.7971 0.2554 0.6391
41 O 0.8445 0.2292 0.9571
42 O 0.8445 0.2708 0.4571
43 O 0.9734 0.7180 0.3132
44 O 0.9734 0.7820 0.8132

Peak list (10 most intense, 2θ = 10–90°, in order of rising 2θ)
d/Å, intensity, h k l
5.209, 100, 1 1 0
4.594, 40, 0 0 2
4.497, 67, 2 0 -2
3.986, 42, 1 1 -2
3.648, 29, 2 1 -2
3.539, 71, 1 0 2
3.120, 82, 0 2 0
2.591, 33, 2 0 -4
2.450, 33, 4 1 -2
2.030, 40, 1 3 0


Calculated powder diffractogram
Compound: Na2MnPCO7
Radiation: Cu Kα, 1.54184 Å
Structure: a crystal structure in Alexandria, relaxed with GGA+U
Intensities are scaled so that the largest is 100.

Atomic structure:
abc: 6.5869 10.3977 10.5210
angles: 60.80 88.87 88.63
Sites, in units of the cell vectors:
1 Na 0.0000 0.0000 0.0000
2 Na 0.0002 0.4733 0.0238
3 Na 0.0123 0.9773 0.5097
4 Na 0.4819 0.9768 0.5224
5 Na 0.4992 0.0044 0.0024
6 Na 0.5082 0.4696 0.0088
7 Na 0.7225 0.3219 0.3523
8 Na 0.9832 0.4658 0.5480
9 Mn 0.2556 0.5825 0.2063
10 Mn 0.2609 0.5819 0.6987
11 Mn 0.7476 0.8698 0.3374
12 Mn 0.7545 0.8740 0.8331
13 P 0.2466 0.8011 0.3354
14 P 0.2537 0.8015 0.8337
15 P 0.7533 0.6600 0.1997
16 P 0.7550 0.6505 0.7114
17 C 0.2413 0.3056 0.3669
18 C 0.2487 0.3065 0.8660
19 C 0.7472 0.1547 0.1821
20 C 0.7529 0.1512 0.6617
21 O 0.0567 0.8991 0.3231
22 O 0.0640 0.8948 0.8294
23 O 0.2175 0.3871 0.4268
24 O 0.2417 0.6537 0.4772
25 O 0.2426 0.1667 0.4296
26 O 0.2429 0.1682 0.9322
27 O 0.2453 0.7744 0.1997
28 O 0.2463 0.3881 0.9280
29 O 0.2458 0.7762 0.6967
30 O 0.2588 0.3824 0.7223
31 O 0.2601 0.6512 0.9747
32 O 0.2694 0.3842 0.2217
33 O 0.4380 0.8915 0.3235
34 O 0.4437 0.8937 0.8176
35 O 0.5641 0.5577 0.7414
36 O 0.5675 0.5641 0.2153
37 O 0.7392 0.0668 0.3262
38 O 0.7440 0.7988 0.5680
39 O 0.7447 0.8121 0.0608
40 O 0.7480 0.0769 0.8068
41 O 0.7481 0.0884 0.1064
42 O 0.7512 0.0664 0.6021
43 O 0.7535 0.2929 0.1347
44 O 0.7586 0.2886 0.5903
45 O 0.7672 0.6854 0.3350
46 O 0.7714 0.6826 0.8446
47 O 0.9387 0.5640 0.2019
48 O 0.9438 0.5582 0.7167

Peak list (10 most intense, 2θ = 10–90°, in order of rising 2θ)
d/Å, intensity, h k l
5.372, 45, 1 1 0
5.289, 44, 1 -1 0
4.592, 38, 0 0 2
3.472, 81, 0 1 -2
3.401, 29, 0 3 2
3.292, 99, 2 0 0
2.688, 85, 2 2 0
2.645, 58, 0 2 -2
2.629, 100, 0 2 4
1.646, 49, 4 0 0


Calculated powder diffractogram
Compound: Na5Mn2P2C2O14
Radiation: Cu Kα, 1.54184 Å
Structure: a crystal structure in Alexandria, relaxed with GGA+U
Intensities are scaled so that the largest is 100.

Atomic structure:
abc: 10.4297 6.6803 10.5131
angles: 90.00 119.49 90.00
Sites, in units of the cell vectors:
1 Na 0.0010 0.0082 0.2576
2 Na 0.0010 0.4918 0.2576
3 Na 0.1579 0.7500 0.0758
4 Na 0.4946 0.5017 0.7268
5 Na 0.4946 0.9983 0.7268
6 Na 0.5054 0.0017 0.2732
7 Na 0.5054 0.4983 0.2732
8 Na 0.8421 0.2500 0.9242
9 Na 0.9990 0.5082 0.7424
10 Na 0.9990 0.9918 0.7424
11 Mn 0.2082 0.7500 0.5681
12 Mn 0.2896 0.2500 0.9316
13 Mn 0.7104 0.7500 0.0684
14 Mn 0.7918 0.2500 0.4319
15 P 0.1419 0.2500 0.5623
16 P 0.3612 0.7500 0.9397
17 P 0.6388 0.2500 0.0603
18 P 0.8581 0.7500 0.4377
19 C 0.1619 0.2500 0.0960
20 C 0.3186 0.7500 0.3907
21 C 0.6814 0.2500 0.6093
22 C 0.8381 0.7500 0.9040
23 O 0.0175 0.7500 0.5765
24 O 0.0811 0.2500 0.1568
25 O 0.0946 0.2500 0.9512
26 O 0.1261 0.2500 0.7009
27 O 0.1755 0.7500 0.3302
28 O 0.2245 0.0612 0.5554
29 O 0.2245 0.4388 0.5554
30 O 0.2735 0.5652 0.9469
31 O 0.2735 0.9348 0.9469
32 O 0.3039 0.2500 0.1643
33 O 0.3753 0.7500 0.7999
34 O 0.3818 0.7500 0.3130
35 O 0.3924 0.7500 0.5338
36 O 0.4813 0.2500 0.9221
37 O 0.5187 0.7500 0.0779
38 O 0.6076 0.2500 0.4662
39 O 0.6182 0.2500 0.6870
40 O 0.6247 0.2500 0.2001
41 O 0.6961 0.7500 0.8357
42 O 0.7265 0.0652 0.0531
43 O 0.7265 0.4348 0.0531
44 O 0.7755 0.5612 0.4446
45 O 0.7755 0.9388 0.4446
46 O 0.8245 0.2500 0.6698
47 O 0.8739 0.7500 0.2991
48 O 0.9054 0.7500 0.0488
49 O 0.9189 0.7500 0.8432
50 O 0.9825 0.2500 0.4235

Peak list (10 most intense, 2θ = 10–90°, in order of rising 2θ)
d/Å, intensity, h k l
5.375, 63, 1 1 -1
3.449, 68, 1 0 -3
3.340, 100, 0 2 0
2.695, 99, 0 2 2
2.687, 75, 2 2 -2
2.638, 93, 2 0 2
2.628, 36, 2 0 -4
2.164, 51, 0 1 4
1.872, 45, 4 2 -4
1.670, 44, 0 4 0


Calculated powder diffractogram
Compound: Na2MnPCO7
Radiation: Cu Kα, 1.54184 Å
Structure: a crystal structure in Alexandria, relaxed with GGA+U
Intensities are scaled so that the largest is 100.

Atomic structure:
abc: 8.4509 8.5272 10.3402
angles: 107.36 108.16 103.95
Sites, in units of the cell vectors:
1 Na 0.0000 0.0000 0.0000
2 Na 0.0048 0.9758 0.4868
3 Na 0.1780 0.4431 0.1600
4 Na 0.2597 0.7533 0.5090
5 Na 0.2890 0.7558 0.0113
6 Na 0.5246 0.4749 0.4971
7 Na 0.5498 0.5108 0.0168
8 Na 0.7414 0.2158 0.4794
9 Mn 0.2173 0.4323 0.6021
10 Mn 0.3331 0.0532 0.9000
11 Mn 0.7064 0.9282 0.6103
12 Mn 0.8351 0.5497 0.8963
13 P 0.0881 0.3101 0.8262
14 P 0.4646 0.1805 0.6747
15 P 0.5769 0.7904 0.8287
16 P 0.9617 0.6918 0.6769
17 C 0.0051 0.7273 0.1769
18 C 0.0463 0.2688 0.3295
19 C 0.5001 0.2209 0.1710
20 C 0.5301 0.7519 0.3247
21 O 0.0293 0.4436 0.9212
22 O 0.0509 0.5962 0.5888
23 O 0.0612 0.7921 0.0939
24 O 0.0724 0.7939 0.3171
25 O 0.1019 0.8379 0.8309
26 O 0.1790 0.2285 0.9289
27 O 0.1913 0.4175 0.4008
28 O 0.2339 0.4252 0.7917
29 O 0.3241 0.0533 0.7064
30 O 0.3553 0.0733 0.1026
31 O 0.3637 0.2547 0.5710
32 O 0.4379 0.6447 0.6721
33 O 0.4601 0.6786 0.1834
34 O 0.4653 0.6888 0.4048
35 O 0.4818 0.8829 0.9114
36 O 0.5436 0.0624 0.5860
37 O 0.5472 0.2702 0.0766
38 O 0.5766 0.3006 0.3100
39 O 0.6102 0.3263 0.8223
40 O 0.6750 0.8990 0.4004
41 O 0.6855 0.7107 0.9223
42 O 0.7113 0.9221 0.7971
43 O 0.8250 0.5548 0.7031
44 O 0.8532 0.7756 0.5849
45 O 0.8674 0.5732 0.1002
46 O 0.9349 0.1694 0.6783
47 O 0.9774 0.1935 0.1916
48 O 0.9938 0.2194 0.4228

Peak list (10 most intense, 2θ = 10–90°, in order of rising 2θ)
d/Å, intensity, h k l
5.397, 44, -1 1 1
5.331, 36, 1 -1 1
4.542, 30, 1 1 0
4.495, 37, 1 1 -2
3.732, 39, 0 2 -2
3.427, 76, 1 1 1
3.343, 100, 2 -2 0
2.677, 43, 3 -1 0
2.614, 100, 2 2 -2
1.672, 32, 4 -4 0


Calculated powder diffractogram
Compound: Na5Mn2P2C2O14
Radiation: Cu Kα, 1.54184 Å
Structure: a crystal structure in Alexandria, relaxed with GGA+U
Intensities are scaled so that the largest is 100.

Atomic structure:
abc: 8.4369 8.4895 9.0984
angles: 90.12 90.35 103.24
Sites, in units of the cell vectors:
1 Na 0.0000 0.0000 0.0000
2 Na 0.9996 0.4668 0.1504
3 Na 0.1300 0.8652 0.3244
4 Na 0.1491 0.3724 0.8096
5 Na 0.3740 0.1131 0.8215
6 Na 0.3873 0.6080 0.3047
7 Na 0.5354 0.9706 0.1480
8 Na 0.6166 0.8360 0.8105
9 Na 0.6434 0.3660 0.3084
10 Na 0.8696 0.6127 0.8106
11 Mn 0.2374 0.2224 0.4245
12 Mn 0.2627 0.7544 0.7123
13 Mn 0.7476 0.7323 0.4169
14 Mn 0.7692 0.2522 0.7022
15 P 0.0367 0.5140 0.4814
16 P 0.4834 0.4596 0.6346
17 P 0.5243 0.0156 0.4910
18 P 0.9797 0.9687 0.6532
19 C 0.2441 0.7247 0.0070
20 C 0.2633 0.2426 0.1364
21 C 0.7433 0.2309 0.9901
22 C 0.7685 0.7500 0.1263
23 O 0.0546 0.0320 0.5052
24 O 0.1072 0.9228 0.7592
25 O 0.1202 0.3965 0.3920
26 O 0.1444 0.6256 0.9190
27 O 0.1609 0.1434 0.2255
28 O 0.1677 0.6738 0.5056
29 O 0.2266 0.7123 0.1473
30 O 0.2338 0.2253 0.9980
31 O 0.3335 0.3074 0.6142
32 O 0.3587 0.8363 0.9489
33 O 0.3786 0.3462 0.1969
34 O 0.3953 0.0794 0.3971
35 O 0.4247 0.5854 0.7286
36 O 0.4586 0.9509 0.6423
37 O 0.5459 0.5231 0.4827
38 O 0.5721 0.8859 0.3933
39 O 0.6177 0.4007 0.7241
40 O 0.6357 0.1216 0.9218
41 O 0.6495 0.6477 0.1873
42 O 0.6740 0.1626 0.5166
43 O 0.7579 0.2394 0.1292
44 O 0.7812 0.7685 0.9852
45 O 0.8352 0.8191 0.6297
46 O 0.8468 0.3354 0.9073
47 O 0.8778 0.8412 0.2121
48 O 0.8984 0.5466 0.3821
49 O 0.9164 0.1033 0.7393
50 O 0.9733 0.4428 0.6324

Peak list (10 most intense, 2θ = 10–90°, in order of rising 2θ)
d/Å, intensity, h k l
5.362, 41, -1 1 1
4.562, 37, 1 1 -1
3.451, 47, 1 1 -2
3.317, 100, 2 -2 0
2.686, 78, -2 2 2
2.677, 47, 2 -2 2
2.634, 31, 1 1 -3
2.627, 79, 2 2 0
2.152, 28, 3 1 -2
1.659, 32, 4 -4 0


Calculated powder diffractogram
Compound: NaMnPCO7
Radiation: Cu Kα, 1.54184 Å
Structure: a crystal structure in Alexandria, relaxed with GGA+U
Intensities are scaled so that the largest is 100.

Atomic structure:
abc: 7.8955 8.1386 10.7369
angles: 109.89 104.05 100.63
Sites, in units of the cell vectors:
1 Na 0.0271 0.4486 0.2314
2 Na 0.3206 0.2258 0.7740
3 Na 0.6794 0.7742 0.2260
4 Na 0.9729 0.5514 0.7686
5 Mn 0.2001 0.9408 0.3510
6 Mn 0.3060 0.5636 0.6490
7 Mn 0.6940 0.4364 0.3510
8 Mn 0.7999 0.0592 0.6490
9 P 0.0469 0.7943 0.5623
10 P 0.4490 0.7076 0.4386
11 P 0.5510 0.2924 0.5614
12 P 0.9531 0.2057 0.4377
13 C 0.0268 0.7746 0.1037
14 C 0.4757 0.7183 0.8960
15 C 0.5243 0.2817 0.1040
16 C 0.9732 0.2254 0.8963
17 O 0.0266 0.2479 0.7919
18 O 0.0602 0.3152 0.0218
19 O 0.0661 0.3730 0.5757
20 O 0.0771 0.1237 0.3581
21 O 0.1681 0.9379 0.5304
22 O 0.1692 0.7392 0.6701
23 O 0.1836 0.9028 0.1565
24 O 0.3105 0.7443 0.3276
25 O 0.3169 0.5855 0.8405
26 O 0.3340 0.5660 0.4757
27 O 0.4287 0.3773 0.6430
28 O 0.4360 0.2051 0.9781
29 O 0.4386 0.1190 0.4305
30 O 0.4772 0.2491 0.2053
31 O 0.5228 0.7509 0.7947
32 O 0.5614 0.8810 0.5695
33 O 0.5640 0.7949 0.0219
34 O 0.5713 0.6227 0.3570
35 O 0.6660 0.4340 0.5243
36 O 0.6831 0.4145 0.1595
37 O 0.6895 0.2557 0.6724
38 O 0.8164 0.0972 0.8435
39 O 0.8308 0.2608 0.3299
40 O 0.8319 0.0621 0.4696
41 O 0.9229 0.8763 0.6419
42 O 0.9339 0.6270 0.4243
43 O 0.9398 0.6848 0.9782
44 O 0.9734 0.7521 0.2081

Peak list (10 most intense, 2θ = 10–90°, in order of rising 2θ)
d/Å, intensity, h k l
5.323, 44, 1 -1 1
5.031, 57, -1 1 1
4.553, 42, 1 1 0
4.464, 79, 1 1 -2
3.998, 33, 0 2 -1
3.874, 27, 2 0 -1
3.527, 95, 1 1 1
3.446, 26, 1 1 -3
3.078, 100, 2 -2 0
2.558, 34, 2 2 -2


Repeat the fourth record exactly.
Calculated powder diffractogram
Compound: Na2MnPCO7
Radiation: Cu Kα, 1.54184 Å
Structure: a crystal structure in Alexandria, relaxed with GGA+U
Intensities are scaled so that the largest is 100.

Atomic structure:
abc: 8.4509 8.5272 10.3402
angles: 107.36 108.16 103.95
Sites, in units of the cell vectors:
1 Na 0.0000 0.0000 0.0000
2 Na 0.0048 0.9758 0.4868
3 Na 0.1780 0.4431 0.1600
4 Na 0.2597 0.7533 0.5090
5 Na 0.2890 0.7558 0.0113
6 Na 0.5246 0.4749 0.4971
7 Na 0.5498 0.5108 0.0168
8 Na 0.7414 0.2158 0.4794
9 Mn 0.2173 0.4323 0.6021
10 Mn 0.3331 0.0532 0.9000
11 Mn 0.7064 0.9282 0.6103
12 Mn 0.8351 0.5497 0.8963
13 P 0.0881 0.3101 0.8262
14 P 0.4646 0.1805 0.6747
15 P 0.5769 0.7904 0.8287
16 P 0.9617 0.6918 0.6769
17 C 0.0051 0.7273 0.1769
18 C 0.0463 0.2688 0.3295
19 C 0.5001 0.2209 0.1710
20 C 0.5301 0.7519 0.3247
21 O 0.0293 0.4436 0.9212
22 O 0.0509 0.5962 0.5888
23 O 0.0612 0.7921 0.0939
24 O 0.0724 0.7939 0.3171
25 O 0.1019 0.8379 0.8309
26 O 0.1790 0.2285 0.9289
27 O 0.1913 0.4175 0.4008
28 O 0.2339 0.4252 0.7917
29 O 0.3241 0.0533 0.7064
30 O 0.3553 0.0733 0.1026
31 O 0.3637 0.2547 0.5710
32 O 0.4379 0.6447 0.6721
33 O 0.4601 0.6786 0.1834
34 O 0.4653 0.6888 0.4048
35 O 0.4818 0.8829 0.9114
36 O 0.5436 0.0624 0.5860
37 O 0.5472 0.2702 0.0766
38 O 0.5766 0.3006 0.3100
39 O 0.6102 0.3263 0.8223
40 O 0.6750 0.8990 0.4004
41 O 0.6855 0.7107 0.9223
42 O 0.7113 0.9221 0.7971
43 O 0.8250 0.5548 0.7031
44 O 0.8532 0.7756 0.5849
45 O 0.8674 0.5732 0.1002
46 O 0.9349 0.1694 0.6783
47 O 0.9774 0.1935 0.1916
48 O 0.9938 0.2194 0.4228

Peak list (10 most intense, 2θ = 10–90°, in order of rising 2θ)
d/Å, intensity, h k l
5.397, 44, -1 1 1
5.331, 36, 1 -1 1
4.542, 30, 1 1 0
4.495, 37, 1 1 -2
3.732, 39, 0 2 -2
3.427, 76, 1 1 1
3.343, 100, 2 -2 0
2.677, 43, 3 -1 0
2.614, 100, 2 2 -2
1.672, 32, 4 -4 0